# 1
Structure and calculated powder diffraction line list of MnH10SeO9 (a DFT-relaxed cell (GGA+U, Alexandria); Cu Ka).

Cell and atoms:
```
MnH10SeO9
1.0
6.323 0.000 0.000
2.147 6.055 0.000
1.579 2.367 10.763
Mn H Se O
2 20 2 18
direct
0.000 0.000 0.000 Mn
0.000 0.500 0.500 Mn
0.102 0.315 0.098 H
0.116 0.161 0.710 H
0.166 0.633 0.874 H
0.241 0.791 0.504 H
0.262 0.617 0.637 H
0.282 0.927 0.301 H
0.308 0.106 0.368 H
0.350 0.152 0.633 H
0.355 0.180 0.868 H
0.443 0.907 0.889 H
0.557 0.093 0.111 H
0.645 0.820 0.132 H
0.650 0.848 0.367 H
0.692 0.894 0.632 H
0.718 0.073 0.699 H
0.738 0.383 0.363 H
0.759 0.209 0.496 H
0.834 0.367 0.126 H
0.884 0.839 0.290 H
0.898 0.685 0.902 H
0.355 0.515 0.212 Se
0.645 0.485 0.788 Se
0.029 0.730 0.912 O
0.167 0.692 0.566 O
0.177 0.779 0.175 O
0.185 0.192 0.625 O
0.282 0.395 0.358 O
0.311 0.041 0.898 O
0.352 0.355 0.115 O
0.354 0.941 0.370 O
0.385 0.466 0.791 O
0.615 0.534 0.209 O
0.646 0.059 0.630 O
0.648 0.645 0.885 O
0.689 0.959 0.102 O
0.718 0.605 0.642 O
0.815 0.808 0.375 O
0.823 0.221 0.825 O
0.833 0.308 0.434 O
0.971 0.270 0.088 O
```

Principal peaks in the range 10 to 80 degrees two-theta, in order of rising 2θ:
d (Å)  I/Imax
5.914  43
5.355  33
5.063  100
4.125  24
3.868  50
3.372  35
3.165  34
3.006  23
2.821  27
2.811  29

# 2
Structure and calculated powder diffraction line list of TiMnHO (a DFT-relaxed cell (GGA+U, Alexandria); Cu Ka).

Cell and atoms:
```
TiMnHO
1.0
2.846 0.000 0.000
0.000 2.883 0.000
0.000 0.000 5.157
Ti Mn H O
1 1 1 1
direct
0.000 0.000 0.000 Ti
0.500 0.500 0.522 Mn
0.500 0.000 0.761 H
0.500 0.500 0.125 O
```

Principal peaks in the range 10 to 80 degrees two-theta, in order of rising 2θ:
d (Å)  I/Imax
2.578  71
2.516  100
2.492  96
2.025  84
1.593  59
1.476  23
1.471  23
1.442  12
1.248  19
1.239  18